# LiMn3Al2H6O12
Theoretical X-ray powder pattern, copper Kα. Input: the PBE+U geometry in the Materials Project.
Intensities are scaled so that the largest is 100.

Peak list (8 most intense, 2θ = 15–90°, by intensity)
18.6°, I 100
37.4°, I 37
36.6°, I 21
47.8°, I 17
46.9°, I 16
47.9°, I 16
63.2°, I 7
62.3°, I 6

Cell and atoms:
Unit cell a=5.8832 b=7.9503 c=10.1292 alpha=97.22 beta=106.72 gamma=100.92
Atoms (fractional coordinates):
Li 0.1580 0.1545 0.0002
Li 0.8420 0.8455 0.9998
Mn 0.0000 0.5000 0.5000
Mn 0.1707 0.1646 0.5063
Mn 0.3289 0.8352 0.4935
Mn 0.5000 0.5000 0.5000
Mn 0.6711 0.1648 0.5065
Mn 0.8293 0.8354 0.4937
Al 0.0000 0.5000 0.0000
Al 0.3317 0.8401 0.0012
Al 0.5000 0.5000 0.0000
Al 0.6683 0.1599 0.9988
H 0.0465 0.3303 0.2043
H 0.1085 0.3491 0.7958
H 0.2472 0.9828 0.2091
H 0.2834 0.0004 0.7915
H 0.3960 0.6636 0.2119
H 0.4297 0.6743 0.8009
H 0.5703 0.3257 0.1991
H 0.6040 0.3364 0.7881
H 0.7166 0.9996 0.2085
H 0.7528 0.0172 0.7909
H 0.8915 0.6509 0.2042
H 0.9535 0.6697 0.7957
O 0.0039 0.2815 0.6128
O 0.0137 0.6885 0.8985
O 0.1659 0.9642 0.6013
O 0.1693 0.3540 0.4034
O 0.1704 0.3838 0.8993
O 0.1851 0.9538 0.1071
O 0.3309 0.6438 0.5957
O 0.3350 0.0354 0.4002
O 0.3380 0.6308 0.1067
O 0.3446 0.0205 0.8944
O 0.4832 0.6915 0.9035
O 0.4959 0.7194 0.3856
O 0.5041 0.2806 0.6144
O 0.5168 0.3085 0.0965
O 0.6554 0.9795 0.1056
O 0.6620 0.3692 0.8933
O 0.6650 0.9646 0.5998
O 0.6691 0.3562 0.4043
O 0.8149 0.0462 0.8929
O 0.8296 0.6162 0.1007
O 0.8307 0.6460 0.5966
O 0.8341 0.0358 0.3987
O 0.9863 0.3115 0.1015
O 0.9961 0.7185 0.3872

***

# MnOF
Theoretical X-ray powder pattern, copper Kα. Input: the PBE+U geometry in the Materials Project.
Intensities are scaled so that the largest is 100.

Peak list (8 most intense, 2θ = 15–90°, by intensity)
30.5°, I 100
25.1°, I 55
54.7°, I 37
53.7°, I 26
41.3°, I 25
36.0°, I 24
43.2°, I 19
52.2°, I 16

Cell and atoms:
Unit cell a=5.1792 b=5.7005 c=4.5362 alpha=90.00 beta=90.00 gamma=90.00
Atoms (fractional coordinates):
Mn 0.2236 0.0988 0.0000
Mn 0.2764 0.5988 0.5000
Mn 0.7236 0.4012 0.0000
Mn 0.7764 0.9012 0.5000
O 0.0973 0.8656 0.2883
O 0.4027 0.3656 0.7883
O 0.5973 0.6344 0.2883
O 0.9027 0.1344 0.7883
F 0.0371 0.3680 0.2549
F 0.4629 0.8680 0.7549
F 0.5371 0.1320 0.2549
F 0.9629 0.6320 0.7549

***

# LiV2O3F
Theoretical X-ray powder pattern, copper Kα. Input: the PBE+U geometry in the Materials Project.
Intensities are scaled so that the largest is 100.

Peak list (8 most intense, 2θ = 15–90°, by intensity)
18.1°, I 100
34.9°, I 70
42.5°, I 60
29.7°, I 54
34.8°, I 40
61.0°, I 37
20.9°, I 35
34.5°, I 35

Cell and atoms:
Unit cell a=6.0055 b=6.0055 c=6.0222 alpha=119.30 beta=119.30 gamma=60.13
Atoms (fractional coordinates):
Li 0.0000 0.0000 0.0000
Li 0.6425 0.6425 0.4124
V 0.1334 0.6580 0.4060
V 0.2664 0.2664 0.7850
V 0.6421 0.6421 0.8870
V 0.6580 0.1334 0.4060
O 0.3847 0.3847 0.1754
O 0.3911 0.8707 0.6471
O 0.4017 0.4017 0.6515
O 0.8707 0.3911 0.6471
O 0.8706 0.8706 0.1447
O 0.8789 0.8789 0.6050
F 0.4082 0.8823 0.1497
F 0.8823 0.4082 0.1497

***

# Li5Ti6FeO16
Theoretical X-ray powder pattern, copper Kα. Input: the PBE+U geometry in the Materials Project.
Intensities are scaled so that the largest is 100.

Peak list (8 most intense, 2θ = 15–90°, by intensity)
35.3°, I 100
18.2°, I 83
42.9°, I 76
62.2°, I 68
23.6°, I 46
56.7°, I 41
25.9°, I 32
89.1°, I 14

Cell and atoms:
Unit cell a=8.4385 b=8.4367 c=8.4387 alpha=90.00 beta=90.04 gamma=90.00
Atoms (fractional coordinates):
Li 0.0016 0.0000 0.2497
Li 0.1241 0.3780 0.3749
Li 0.2519 0.7566 0.4969
Li 0.3754 0.6280 0.8744
Li 0.4967 0.0043 0.7458
Li 0.5033 0.5043 0.2542
Li 0.6246 0.1280 0.1256
Li 0.7481 0.2566 0.5031
Li 0.8759 0.8780 0.6251
Li 0.9984 0.5000 0.7503
Ti 0.1157 0.1286 0.6091
Ti 0.1343 0.8632 0.8626
Ti 0.1365 0.6261 0.1281
Ti 0.3638 0.3892 0.6164
Ti 0.3772 0.8737 0.1202
Ti 0.3793 0.1339 0.3780
Ti 0.6207 0.6339 0.6220
Ti 0.6228 0.3737 0.8798
Ti 0.6362 0.8892 0.3836
Ti 0.8635 0.1261 0.8719
Ti 0.8657 0.3632 0.1374
Ti 0.8843 0.6286 0.3909
Fe 0.2465 0.2507 0.9981
Fe 0.7535 0.7507 0.0019
O 0.1062 0.6277 0.3549
O 0.1136 0.3922 0.1177
O 0.1153 0.1184 0.8690
O 0.1238 0.6461 0.8905
O 0.1249 0.8964 0.6448
O 0.1410 0.1269 0.3922
O 0.1416 0.8617 0.1128
O 0.1438 0.3608 0.6274
O 0.3579 0.6437 0.1255
O 0.3593 0.8796 0.8933
O 0.3623 0.1408 0.6075
O 0.3687 0.1185 0.1369
O 0.3760 0.3610 0.3916
O 0.3879 0.3718 0.8675
O 0.3904 0.6108 0.6264
O 0.3915 0.8946 0.3547
O 0.6085 0.3946 0.6453
O 0.6096 0.1108 0.3736
O 0.6121 0.8718 0.1325
O 0.6240 0.8610 0.6084
O 0.6313 0.6185 0.8631
O 0.6377 0.6408 0.3925
O 0.6407 0.3796 0.1067
O 0.6421 0.1437 0.8745
O 0.8562 0.8608 0.3726
O 0.8584 0.3617 0.8872
O 0.8590 0.6269 0.6078
O 0.8751 0.3964 0.3552
O 0.8762 0.1461 0.1095
O 0.8847 0.6184 0.1310
O 0.8864 0.8922 0.8823
O 0.8938 0.1277 0.6451

***

# Ba2CrBiO6
Theoretical X-ray powder pattern, copper Kα. Input: the PBE+U geometry in the Materials Project.
Intensities are scaled so that the largest is 100.

Peak list (8 most intense, 2θ = 15–90°, by intensity)
30.2°, I 100
53.7°, I 41
43.3°, I 30
87.2°, I 22
18.4°, I 19
62.9°, I 19
71.3°, I 18
35.6°, I 13

Cell and atoms:
Unit cell a=5.9136 b=5.9136 c=5.9136 alpha=60.00 beta=60.00 gamma=60.00
Atoms (fractional coordinates):
Ba 0.2500 0.2500 0.2500
Ba 0.7500 0.7500 0.7500
Cr 0.0000 0.0000 0.0000
Bi 0.5000 0.5000 0.5000
O 0.2449 0.2449 0.7551
O 0.2449 0.7551 0.2449
O 0.2449 0.7551 0.7551
O 0.7551 0.2449 0.2449
O 0.7551 0.2449 0.7551
O 0.7551 0.7551 0.2449

***

# CeVO4
Theoretical X-ray powder pattern, copper Kα. Input: the PBE+U geometry in the Materials Project.
Intensities are scaled so that the largest is 100.

Peak list (8 most intense, 2θ = 15–90°, by intensity)
28.4°, I 100
45.3°, I 66
32.9°, I 52
28.6°, I 52
31.7°, I 35
18.7°, I 35
24.2°, I 34
31.2°, I 28

Cell and atoms:
Unit cell a=6.9620 b=7.3525 c=6.8168 alpha=90.00 beta=116.39 gamma=90.00
Atoms (fractional coordinates):
Ce 0.1886 0.1589 0.3324
Ce 0.1886 0.3411 0.8324
Ce 0.8114 0.6589 0.1676
Ce 0.8114 0.8411 0.6676
V 0.2967 0.6944 0.2003
V 0.2967 0.8056 0.7003
V 0.7033 0.1944 0.2997
V 0.7033 0.3056 0.7997
O 0.0270 0.6907 0.5325
O 0.0270 0.8093 0.0325
O 0.1843 0.0020 0.7385
O 0.1843 0.4980 0.2385
O 0.3211 0.6315 0.9336
O 0.3211 0.8685 0.4336
O 0.3956 0.2015 0.1602
O 0.3956 0.2985 0.6602
O 0.6044 0.7015 0.3398
O 0.6044 0.7985 0.8398
O 0.6789 0.1315 0.5664
O 0.6789 0.3685 0.0664
O 0.8157 0.5020 0.7615
O 0.8157 0.9980 0.2615
O 0.9730 0.1907 0.9675
O 0.9730 0.3093 0.4675

***

> Which formula does entry 2 have?

MnOF